Starting from the GGA+U geometry in OQMD, the powder diffraction line list of La3Co3O8 was computed for a wavelength of 1.5418 Å.
Lines closer than 0.1° are merged.

Main lines, low angle first (10° ≤ 2θ ≤ 90°):
(1 1 0), d = 3.881 Å, 22.92 deg, rel. 17; (2 0 0), d = 2.808 Å, 31.86 deg, rel. 29; (1 1 -3), d = 2.765 Å, 32.38 deg, rel. 100; (0 2 0), d = 2.684 Å, 33.39 deg, rel. 30; (0 2 3), d = 2.218 Å, 40.68 deg, rel. 10; (0 0 6), d = 1.970 Å, 46.07 deg, rel. 13; (2 2 0), d = 1.940 Å, 46.82 deg, rel. 29; (3 1 -3), d = 1.615 Å, 57.04 deg, rel. 15; (3 1 3), d = 1.611 Å, 57.17 deg, rel. 14; (1 3 -3), d = 1.565 Å, 59.04 deg, rel. 18

Structure:
```
data_La3Co3O8
_cell_length_a 5.617
_cell_length_b 5.368
_cell_length_c 11.821
_cell_angle_alpha 90.00
_cell_angle_beta 90.15
_cell_angle_gamma 90.00
_space_group_name_H-M_alt 'P 1 21 1'
_space_group_IT_number 4
loop_
_space_group_symop_operation_xyz
'x,y,z'
'-x,y+1/2,-z'
loop_
_atom_site_label
_atom_site_type_symbol
_atom_site_fract_x
_atom_site_fract_y
_atom_site_fract_z
_atom_site_occupancy
La1 La 0.229 0.000 0.312 1
La2 La 0.235 0.999 0.689 1
La3 La 0.252 0.995 0.001 1
Co1 Co 0.250 0.496 0.167 1
Co2 Co 0.256 0.496 0.833 1
Co3 Co 0.312 0.545 0.501 1
O1 O 0.002 0.746 0.146 1
O2 O 0.002 0.750 0.854 1
O3 O 0.176 0.479 0.353 1
O4 O 0.186 0.481 0.651 1
O5 O 0.330 0.496 0.999 1
O6 O 0.355 0.922 0.500 1
O7 O 0.492 0.745 0.193 1
O8 O 0.495 0.248 0.193 1
```